For La8SmEr5, a structure optimized by DFT (GGA-PBE) gives the calculated powder diffraction line list in this record (Cu Kα (λ = 1.5418 Å)).

Crystal structure
Lattice parameters (Å, degrees): 8.655 8.655 8.655 111.36 111.36 105.75
Positions (direct):
La: 0.156 0.432 0.090
La: 0.342 0.066 0.910
La: 0.425 0.163 0.398
La: 0.568 0.658 0.724
La: 0.764 0.026 0.602
La: 0.837 0.236 0.262
La: 0.934 0.844 0.276
La: 0.974 0.575 0.738
Sm: 0.250 0.750 0.500
Er: 0.000 0.000 0.000
Er: 0.227 0.319 0.694
Er: 0.466 0.773 0.092
Er: 0.626 0.534 0.306
Er: 0.681 0.374 0.908

Principal peaks in the range 10° ≤ 2θ ≤ 80°, sorted by position:
d [Å], 2theta, Rel. int.
3.280, 27.19, 58
3.106, 28.74, 68
3.086, 28.93, 74
2.879, 31.06, 27
2.722, 32.91, 100
2.657, 33.73, 42
2.620, 34.22, 48
1.703, 53.85, 23
1.543, 59.94, 23
1.516, 61.11, 22